Pr2NiO4: computed X-ray powder pattern (a wavelength of 1.5418 Å), based on a cell relaxed with GGA+U.

Most intense lines, 15° ≤ 2θ ≤ 90°, in order of rising 2θ:
hkl  2theta  I/Imax
1 1 1  23.73  21
0 0 2  31.46  100
2 0 0  32.89  26
0 4 2  43.31  27
2 0 2  46.11  26
1 3 3  55.95  15

Atomic structure:
```
data_Pr2NiO4
_chemical_formula_sum 'Pr8 Ni4 O16'
_symmetry_space_group_name_H-M 'C m c e'
_symmetry_Int_Tables_number 64
_symmetry_space_group_name_Hall '-C 2ac 2'
_cell_length_a 5.4463
_cell_length_b 12.3134
_cell_length_c 5.6980
_cell_angle_alpha 90.00
_cell_angle_beta 90.00
_cell_angle_gamma 90.00
loop_
_atom_site_label
_atom_site_type_symbol
_atom_site_fract_x
_atom_site_fract_y
_atom_site_fract_z
_atom_site_occupancy
Pr1 Pr 0.0000 0.1369 0.0164 1
Ni1 Ni 0.0000 0.0000 0.5000 1
O1 O 0.0000 0.1789 0.4315 1
O2 O 0.2500 0.0197 0.7500 1
```